# Nd2MgCuO4
Theoretical XRD peak list, Cu Ka. Input: a GGA-PBE-relaxed structure.
Neutral-atom scattering factors, no anomalous dispersion.

Atomic structure:
```
data_Nd2MgCuO4
_chemical_formula_sum 'Nd4 Mg2 Cu2 O8'
_cell_length_a 3.810
_cell_length_b 3.810
_cell_length_c 18.727
_cell_angle_alpha 90.00
_cell_angle_beta 90.00
_cell_angle_gamma 90.00
_symmetry_space_group_name_H-M 'I 4/m m m'
_symmetry_Int_Tables_number 139
_symmetry_space_group_name_Hall '-I 4 2'
loop_
_atom_site_label
_atom_site_type_symbol
_atom_site_fract_x
_atom_site_fract_y
_atom_site_fract_z
_atom_site_occupancy
Nd1 Nd 0.000 0.000 0.188 1
Mg1 Mg 0.000 0.000 0.000 1
Cu1 Cu 0.000 0.000 0.500 1
O1 O 0.000 0.000 0.310 1
O2 O 0.000 0.500 0.000 1
```

Top 6 peaks for 2θ = 5–70°, most intense first:
hkl 1 0 3, 2θ = 27.43°, I 1000
hkl 1 1 0, 2θ = 33.26°, I 581
hkl 0 0 6, 2θ = 28.60°, I 365
hkl 0 0 2, 2θ = 9.45°, I 348
hkl 2 1 3, 2θ = 55.94°, I 285
hkl 1 0 5, 2θ = 33.55°, I 284

=====

# NbH4
Theoretical XRD peak list, Cu Ka. Input: a GGA-PBE-relaxed structure.
Neutral-atom scattering factors, no anomalous dispersion.

Atomic structure:
```
data_NbH4
_chemical_formula_sum 'Nb2 H8'
_cell_length_a 4.364
_cell_length_b 4.364
_cell_length_c 4.364
_cell_angle_alpha 90.00
_cell_angle_beta 90.00
_cell_angle_gamma 90.00
_symmetry_space_group_name_H-M 'I m -3 m'
_symmetry_Int_Tables_number 229
_symmetry_space_group_name_Hall '-I 4 2 3'
loop_
_atom_site_label
_atom_site_type_symbol
_atom_site_fract_x
_atom_site_fract_y
_atom_site_fract_z
_atom_site_occupancy
Nb1 Nb 0.000 0.000 0.000 1
H1 H 0.250 0.250 0.250 1
```

Top 5 peaks for 2θ = 5–70°, most intense first:
hkl 1 1 0, 2θ = 28.93°, I 1000
hkl 2 1 1, 2θ = 51.28°, I 391
hkl 2 0 0, 2θ = 41.38°, I 166
hkl 3 1 0, 2θ = 67.92°, I 164
hkl 2 2 0, 2θ = 59.95°, I 128

=====

# Li6CuS4
Theoretical XRD peak list, Cu Ka. Input: a GGA-PBE-relaxed structure.
Neutral-atom scattering factors, no anomalous dispersion.

Atomic structure:
```
data_Li6CuS4
_chemical_formula_sum 'Li12 Cu2 S8'
_cell_length_a 7.991
_cell_length_b 7.991
_cell_length_c 5.678
_cell_angle_alpha 90.00
_cell_angle_beta 90.00
_cell_angle_gamma 90.00
_symmetry_space_group_name_H-M 'P 42/n m c'
_symmetry_Int_Tables_number 137
loop_
_symmetry_equiv_pos_as_xyz
'x,y,z'
'-x,-y,-z'
'-y+1/2,x,z+1/2'
'y+1/2,-x,-z+1/2'
'-x+1/2,-y+1/2,z'
'x+1/2,y+1/2,-z'
'y,-x+1/2,z+1/2'
'-y,x+1/2,-z+1/2'
'x+1/2,-y,-z'
'-x+1/2,y,z'
'-y,-x,-z+1/2'
'y,x,z+1/2'
'-x,y+1/2,-z'
'x,-y+1/2,z'
'y+1/2,x+1/2,-z+1/2'
'-y+1/2,-x+1/2,z+1/2'
loop_
_atom_site_label
_atom_site_type_symbol
_atom_site_fract_x
_atom_site_fract_y
_atom_site_fract_z
_atom_site_occupancy
Li1 Li 0.027 0.527 0.250 1
Li2 Li 0.250 0.250 0.204 1
Cu1 Cu 0.250 0.750 0.750 1
S1 S 0.005 0.250 0.453 1
```

Top 6 peaks for 2θ = 5–70°, most intense first:
hkl 1 0 1, 2θ = 19.17°, I 1000
hkl 2 0 1, 2θ = 27.29°, I 993
hkl 2 2 2, 2θ = 45.28°, I 575
hkl 4 0 0, 2θ = 45.40°, I 345
hkl 1 1 0, 2θ = 15.68°, I 308
hkl 2 1 1, 2θ = 29.53°, I 260

=====

# Mn
Theoretical XRD peak list, Cu Ka. Input: a GGA-PBE-relaxed structure.
Neutral-atom scattering factors, no anomalous dispersion.

Atomic structure:
```
data_Mn
_chemical_formula_sum 'Mn58'
_cell_length_a 8.618
_cell_length_b 8.618
_cell_length_c 8.618
_cell_angle_alpha 90.00
_cell_angle_beta 90.00
_cell_angle_gamma 90.00
_symmetry_space_group_name_H-M 'I -4 3 m'
_symmetry_Int_Tables_number 217
_symmetry_space_group_name_Hall 'I -4 2 3'
loop_
_atom_site_label
_atom_site_type_symbol
_atom_site_fract_x
_atom_site_fract_y
_atom_site_fract_z
_atom_site_occupancy
Mn1 Mn 0.000 0.000 0.000 1
Mn2 Mn 0.035 0.356 0.356 1
Mn3 Mn 0.089 0.089 0.283 1
Mn4 Mn 0.181 0.181 0.819 1
```

Top 6 peaks for 2θ = 5–70°, most intense first:
hkl 4 1 1, 2θ = 44.61°, I 1000
hkl 3 3 2, 2θ = 49.61°, I 234
hkl 4 3 1, 2θ = 54.27°, I 141
hkl 4 2 2, 2θ = 51.98°, I 88
hkl 4 0 0, 2θ = 41.93°, I 47
hkl 4 4 2, 2θ = 64.92°, I 10